The following is a theoretical X-ray powder pattern of K4CoBr6. It was derived from DFT lattice parameters and positions (PBE), using Cu Kα X-rays.

Top 12 peaks for 2θ from 15° to 90°, most intense first:
2θ/deg  I/Imax
29.5  100
31.5  80
33.0  38
51.0  30
39.0  29
30.7  26
34.3  25
45.1  24
24.2  18
43.3  17
61.1  16
23.8  15

Structure:
Lattice parameters (Å, degrees): 8.9872 8.9872 9.2320 90.00 90.00 90.00
Fractional coordinates of all 22 atoms:
K: 0.1729 0.3271 0.2500
K: 0.1729 0.3271 0.7500
K: 0.3271 0.8271 0.2500
K: 0.3271 0.8271 0.7500
K: 0.6729 0.1729 0.2500
K: 0.6729 0.1729 0.7500
K: 0.8271 0.6729 0.2500
K: 0.8271 0.6729 0.7500
Co: 0.0000 0.0000 0.0000
Co: 0.5000 0.5000 0.5000
Br: 0.0000 0.0000 0.2746
Br: 0.0000 0.0000 0.7254
Br: 0.0898 0.7091 0.0000
Br: 0.2091 0.5898 0.5000
Br: 0.2909 0.0898 0.0000
Br: 0.4102 0.2091 0.5000
Br: 0.5000 0.5000 0.2254
Br: 0.5000 0.5000 0.7746
Br: 0.5898 0.7909 0.5000
Br: 0.7091 0.9102 0.0000
Br: 0.7909 0.4102 0.5000
Br: 0.9102 0.2909 0.0000

***

The following is a theoretical X-ray powder pattern of KThSb2Au2. It was derived from DFT lattice parameters and positions (PBE), using Cu Kα X-rays.

Top 12 peaks for 2θ from 15° to 90°, most intense first:
2θ/deg  I/Imax
29.1  100
38.6  62
36.1  34
49.0  24
64.1  21
39.8  20
63.3  14
73.9  13
44.4  11
68.2  11
53.9  11
69.8  11

Structure:
Lattice parameters (Å, degrees): 4.6653 4.6653 9.4614 90.00 90.00 120.00
Fractional coordinates of all 6 atoms:
K: 0.0000 0.0000 0.0000
Th: 0.0000 0.0000 0.5000
Sb: 0.3333 0.6667 0.7360
Sb: 0.6667 0.3333 0.2640
Au: 0.3333 0.6667 0.3230
Au: 0.6667 0.3333 0.6770

***

The following is a theoretical X-ray powder pattern of Dy3Er2Hg4. It was derived from DFT lattice parameters and positions (PBE), using Cu Kα X-rays.

Top 12 peaks for 2θ from 15° to 90°, most intense first:
2θ/deg  I/Imax
34.4  100
29.9  66
30.0  48
37.4  37
35.4  32
62.2  25
39.6  25
53.0  21
38.8  20
48.1  16
32.6  16
66.6  15

Structure:
Lattice parameters (Å, degrees): 9.7080 9.7080 7.9158 90.00 90.00 138.26
Fractional coordinates of all 18 atoms:
Dy: 0.0000 0.0000 0.0000
Dy: 0.0112 0.4888 0.2500
Dy: 0.4888 0.0112 0.7500
Dy: 0.5000 0.5000 0.5000
Dy: 0.5112 0.9888 0.2500
Dy: 0.9888 0.5112 0.7500
Er: 0.0942 0.9058 0.4131
Er: 0.4058 0.5942 0.9131
Er: 0.5942 0.4058 0.0869
Er: 0.9058 0.0942 0.5869
Hg: 0.1641 0.8359 0.0358
Hg: 0.1814 0.3186 0.2500
Hg: 0.3186 0.1814 0.7500
Hg: 0.3359 0.6641 0.5358
Hg: 0.6641 0.3359 0.4642
Hg: 0.6814 0.8186 0.2500
Hg: 0.8186 0.6814 0.7500
Hg: 0.8359 0.1641 0.9642

***

The following is a theoretical X-ray powder pattern of Tb5Ho4Zr. It was derived from DFT lattice parameters and positions (PBE), using Cu Kα X-rays.

Top 12 peaks for 2θ from 15° to 90°, most intense first:
2θ/deg  I/Imax
31.2  100
31.7  90
33.3  76
30.9  70
30.5  58
37.5  50
36.3  31
63.1  27
63.5  25
36.7  24
53.4  24
32.6  23

Structure:
Lattice parameters (Å, degrees): 8.9172 8.9172 10.7678 106.48 106.48 22.18
Fractional coordinates of all 10 atoms:
Tb: 0.0000 0.0000 0.0000
Tb: 0.2946 0.2946 0.9006
Tb: 0.3965 0.3965 0.2202
Tb: 0.6035 0.6035 0.7798
Tb: 0.7054 0.7054 0.0994
Ho: 0.1940 0.1940 0.5808
Ho: 0.4091 0.4091 0.6866
Ho: 0.5909 0.5909 0.3134
Ho: 0.8060 0.8060 0.4192
Zr: 0.0000 0.0000 0.5000

***

The following is a theoretical X-ray powder pattern of CaLa5N4. It was derived from DFT lattice parameters and positions (PBE), using Cu Kα X-rays.

Top 12 peaks for 2θ from 15° to 90°, most intense first:
2θ/deg  I/Imax
29.5  100
36.8  80
26.3  77
18.8  68
42.8  68
40.6  62
21.0  49
35.1  43
31.3  38
60.5  38
63.8  33
30.3  33

Structure:
Lattice parameters (Å, degrees): 9.6566 9.6566 9.6566 159.35 126.47 57.99
Fractional coordinates of all 10 atoms:
Ca: 0.0000 0.0000 0.0000
La: 0.0678 0.3703 0.6975
La: 0.3272 0.6297 0.6975
La: 0.5000 0.5000 0.0000
La: 0.6728 0.3703 0.3025
La: 0.9322 0.6297 0.3025
N: 0.1391 0.1391 0.0000
N: 0.2851 0.0000 0.2851
N: 0.7149 0.0000 0.7149
N: 0.8609 0.8609 0.0000

***

The following is a theoretical X-ray powder pattern of AcNd6In3. It was derived from DFT lattice parameters and positions (PBE), using Cu Kα X-rays.

Top 12 peaks for 2θ from 15° to 90°, most intense first:
2θ/deg  I/Imax
33.1  100
30.9  67
28.5  66
32.3  35
29.5  31
30.0  29
24.2  20
24.9  17
42.8  14
31.5  14
36.5  14
25.5  13

Structure:
Lattice parameters (Å, degrees): 8.7844 8.7844 8.9401 90.00 90.00 94.46
Fractional coordinates of all 20 atoms:
Ac: 0.1874 0.8126 0.5000
Ac: 0.8126 0.1874 0.0000
Nd: 0.0728 0.4268 0.7017
Nd: 0.1102 0.2427 0.3469
Nd: 0.2427 0.1102 0.8469
Nd: 0.2595 0.7405 0.9243
Nd: 0.4268 0.0728 0.2017
Nd: 0.4760 0.5240 0.3025
Nd: 0.5240 0.4760 0.8025
Nd: 0.5732 0.9272 0.7017
Nd: 0.7405 0.2595 0.4243
Nd: 0.7573 0.8898 0.3469
Nd: 0.8898 0.7573 0.8469
Nd: 0.9272 0.5732 0.2017
In: 0.0653 0.9347 0.1461
In: 0.2216 0.3998 0.0450
In: 0.3998 0.2216 0.5450
In: 0.6002 0.7784 0.0450
In: 0.7784 0.6002 0.5450
In: 0.9347 0.0653 0.6461

***

The following is a theoretical X-ray powder pattern of TbPrY2Sc2. It was derived from DFT lattice parameters and positions (PBE), using Cu Kα X-rays.

Top 12 peaks for 2θ from 15° to 90°, most intense first:
2θ/deg  I/Imax
32.3  100
46.3  23
57.6  21
32.4  18
18.5  17
57.7  15
64.3  14
67.6  5
22.7  5
83.0  5
76.8  4
54.0  4

Structure:
Lattice parameters (Å, degrees): 6.7955 9.6141 5.5305 90.00 90.00 90.00
Fractional coordinates of all 12 atoms:
Tb: 0.0000 0.0000 0.0000
Tb: 0.5000 0.5000 0.5000
Pr: 0.0000 0.5000 0.5000
Pr: 0.5000 0.0000 0.0000
Y: 0.2476 0.1666 0.5000
Y: 0.2524 0.6666 0.0000
Y: 0.7476 0.3334 0.0000
Y: 0.7524 0.8334 0.5000
Sc: 0.2496 0.3332 0.0000
Sc: 0.2504 0.8332 0.5000
Sc: 0.7496 0.1668 0.5000
Sc: 0.7504 0.6668 0.0000

***

The following is a theoretical X-ray powder pattern of Ti5VC3. It was derived from DFT lattice parameters and positions (PBE), using Cu Kα X-rays.

Top 12 peaks for 2θ from 15° to 90°, most intense first:
2θ/deg  I/Imax
38.4  100
38.8  96
36.0  74
63.5  36
40.1  31
40.8  30
59.6  17
71.6  17
51.2  15
66.1  14
66.9  13
52.4  13

Structure:
Lattice parameters (Å, degrees): 11.0608 11.0608 3.1046 90.00 90.00 142.39
Fractional coordinates of all 18 atoms:
Ti: 0.0370 0.3670 0.5000
Ti: 0.0676 0.9324 0.0000
Ti: 0.2685 0.7315 0.0000
Ti: 0.2975 0.2975 0.5000
Ti: 0.3670 0.0370 0.5000
Ti: 0.6330 0.9630 0.5000
Ti: 0.7025 0.7025 0.5000
Ti: 0.7315 0.2685 0.0000
Ti: 0.9324 0.0676 0.0000
Ti: 0.9630 0.6330 0.5000
V: 0.4020 0.5980 0.0000
V: 0.5980 0.4020 0.0000
C: 0.0000 0.0000 0.5000
C: 0.1681 0.8319 0.0000
C: 0.3380 0.6620 0.5000
C: 0.5000 0.5000 0.0000
C: 0.6620 0.3380 0.5000
C: 0.8319 0.1681 0.0000

***

Repeat the sixth record exactly.
The following is a theoretical X-ray powder pattern of AcNd6In3. It was derived from DFT lattice parameters and positions (PBE), using Cu Kα X-rays.

Top 12 peaks for 2θ from 15° to 90°, most intense first:
2θ/deg  I/Imax
33.1  100
30.9  67
28.5  66
32.3  35
29.5  31
30.0  29
24.2  20
24.9  17
42.8  14
31.5  14
36.5  14
25.5  13

Structure:
Lattice parameters (Å, degrees): 8.7844 8.7844 8.9401 90.00 90.00 94.46
Fractional coordinates of all 20 atoms:
Ac: 0.1874 0.8126 0.5000
Ac: 0.8126 0.1874 0.0000
Nd: 0.0728 0.4268 0.7017
Nd: 0.1102 0.2427 0.3469
Nd: 0.2427 0.1102 0.8469
Nd: 0.2595 0.7405 0.9243
Nd: 0.4268 0.0728 0.2017
Nd: 0.4760 0.5240 0.3025
Nd: 0.5240 0.4760 0.8025
Nd: 0.5732 0.9272 0.7017
Nd: 0.7405 0.2595 0.4243
Nd: 0.7573 0.8898 0.3469
Nd: 0.8898 0.7573 0.8469
Nd: 0.9272 0.5732 0.2017
In: 0.0653 0.9347 0.1461
In: 0.2216 0.3998 0.0450
In: 0.3998 0.2216 0.5450
In: 0.6002 0.7784 0.0450
In: 0.7784 0.6002 0.5450
In: 0.9347 0.0653 0.6461

***

Repeat the fourth record exactly.
The following is a theoretical X-ray powder pattern of Tb5Ho4Zr. It was derived from DFT lattice parameters and positions (PBE), using Cu Kα X-rays.

Top 12 peaks for 2θ from 15° to 90°, most intense first:
2θ/deg  I/Imax
31.2  100
31.7  90
33.3  76
30.9  70
30.5  58
37.5  50
36.3  31
63.1  27
63.5  25
36.7  24
53.4  24
32.6  23

Structure:
Lattice parameters (Å, degrees): 8.9172 8.9172 10.7678 106.48 106.48 22.18
Fractional coordinates of all 10 atoms:
Tb: 0.0000 0.0000 0.0000
Tb: 0.2946 0.2946 0.9006
Tb: 0.3965 0.3965 0.2202
Tb: 0.6035 0.6035 0.7798
Tb: 0.7054 0.7054 0.0994
Ho: 0.1940 0.1940 0.5808
Ho: 0.4091 0.4091 0.6866
Ho: 0.5909 0.5909 0.3134
Ho: 0.8060 0.8060 0.4192
Zr: 0.0000 0.0000 0.5000